The following is a simulated powder diffractogram of K4Na4MoW7O24. It was derived from DFT lattice parameters and positions (GGA+U), using Cu Ka.

Main lines, most intense first (2θ from 10° to 80°):
2θ = 31.53°, I = 100; 2θ = 22.16°, I = 83; 2θ = 56.15°, I = 40; 2θ = 50.85°, I = 24; 2θ = 45.15°, I = 22; 2θ = 65.87°, I = 13

Atomic structure:
abc: 8.032 8.032 8.009
angles: 90.00 90.00 90.00
Sites, in units of the cell vectors:
K 0.248 0.248 0.000
K 0.248 0.752 0.000
K 0.752 0.248 0.000
K 0.752 0.752 0.000
Na 0.248 0.248 0.496
Na 0.248 0.752 0.496
Na 0.752 0.248 0.496
Na 0.752 0.752 0.496
Mo 0.000 0.000 0.250
W 0.000 0.000 0.746
W 0.000 0.500 0.250
W 0.000 0.500 0.746
W 0.500 0.000 0.250
W 0.500 0.000 0.746
W 0.500 0.500 0.250
W 0.500 0.500 0.746
O 0.000 0.000 0.506
O 0.000 0.000 0.987
O 0.000 0.254 0.744
O 0.000 0.261 0.253
O 0.000 0.500 0.002
O 0.000 0.500 0.495
O 0.000 0.739 0.253
O 0.000 0.746 0.744
O 0.243 0.500 0.252
O 0.245 0.500 0.744
O 0.254 0.000 0.744
O 0.261 0.000 0.253
O 0.500 0.000 0.002
O 0.500 0.000 0.495
O 0.500 0.243 0.252
O 0.500 0.245 0.744
O 0.500 0.500 0.010
O 0.500 0.500 0.488
O 0.500 0.755 0.744
O 0.500 0.757 0.252
O 0.739 0.000 0.253
O 0.746 0.000 0.744
O 0.755 0.500 0.744
O 0.757 0.500 0.252

---

The following is a simulated powder diffractogram of RbLiMoO4. It was derived from DFT lattice parameters and positions (GGA+U), using Cu Ka.

Main lines, most intense first (2θ from 10° to 80°):
2θ = 21.80°, I = 100; 2θ = 21.42°, I = 55; 2θ = 30.40°, I = 42; 2θ = 31.09°, I = 40; 2θ = 37.85°, I = 22; 2θ = 31.22°, I = 22

Atomic structure:
abc: 5.755 5.755 10.233
angles: 107.83 107.83 60.52
Sites, in units of the cell vectors:
Rb 0.224 0.776 0.500
Rb 0.776 0.224 0.000
Li 0.364 0.880 0.870
Li 0.880 0.364 0.370
Mo 0.495 0.999 0.246
Mo 0.999 0.495 0.746
O 0.022 0.450 0.568
O 0.065 0.177 0.779
O 0.177 0.065 0.279
O 0.243 0.610 0.861
O 0.450 0.022 0.068
O 0.610 0.243 0.361
O 0.664 0.745 0.775
O 0.745 0.664 0.275